(1)
Structure and computed powder XRD pattern of ScAu2 (a DFT-relaxed cell (GGA-PBE, the Materials Project); Cu Kα, 1.54184 Å).

Most intense lines, 5° ≤ 2θ ≤ 70°, low angle first:
| d [Å] | I (rel.) | index |
| --- | --- | --- |
| 4.435 | 12.8 | 0 0 2 |
| 3.307 | 35.8 | 1 0 1 |
| 2.520 | 67.1 | 1 1 0 |
| 2.276 | 100.0 | 1 0 3 |
| 2.191 | 8.9 | 1 1 2 |
| 1.782 | 23.9 | 2 0 0 |
| 1.665 | 7.0 | 1 1 4 |
| 1.569 | 9.0 | 2 1 1 |
| 1.478 | 6.4 | 0 0 6 |
| 1.403 | 43.3 | 2 1 3 |

Cell and atoms:
a = 3.5641 Å, b = 3.5641 Å, c = 8.8704 Å
α = 90.00°, β = 90.00°, γ = 90.00°
Space group I4/mmm (No. 139)
Unique sites:
Sc 0.0000 0.0000 0.0000 x2
Au 0.0000 0.0000 0.3370 x4

***

(2)
Structure and computed powder XRD pattern of Eu2CuSe2O (a DFT-relaxed cell (GGA-PBE, the Materials Project); Cu Kα, 1.54184 Å).

Most intense lines, 5° ≤ 2θ ≤ 70°, low angle first:
| d [Å] | I (rel.) | index |
| --- | --- | --- |
| 4.091 | 100.0 | 1 0 0 |
| 3.101 | 10.7 | 1 0 3 |
| 2.893 | 41.3 | 1 1 0 |
| 2.687 | 18.9 | 1 0 4 |
| 2.246 | 11.0 | 1 1 4 |
| 2.055 | 21.6 | 1 0 6 |
| 2.045 | 15.1 | 2 0 0 |
| 1.836 | 15.1 | 1 1 6 |
| 1.829 | 21.2 | 2 1 0 |
| 1.450 | 13.6 | 2 1 6 |

Cell and atoms:
a = 4.0907 Å, b = 4.0907 Å, c = 14.2606 Å
α = 90.00°, β = 90.00°, γ = 90.00°
Space group P4/mmm (No. 123)
Unique sites:
Eu 0.0000 0.0000 0.1478 x2
Cu 0.0000 0.0000 0.5000 x1
Se 0.0000 0.0000 0.3448 x2
O 0.0000 0.0000 0.0000 x1

***

(3)
Structure and computed powder XRD pattern of TaTlCu2S4 (a DFT-relaxed cell (GGA-PBE, the Materials Project); Cu Kα, 1.54184 Å).

Most intense lines, 5° ≤ 2θ ≤ 70°, low angle first:
| d [Å] | I (rel.) | index |
| --- | --- | --- |
| 5.348 | 100.0 | 0 1 1 |
| 4.357 | 43.0 | 1 1 1 |
| 3.989 | 88.5 | 1 4 0 |
| 3.758 | 72.6 | 2 0 0 |
| 3.121 | 48.8 | 0 5 1 |
| 2.791 | 82.5 | 2 3 1 |
| 2.519 | 75.1 | 1 2 2 |
| 2.022 | 53.6 | 2 4 2 |
| 1.828 | 44.3 | 3 2 2 |
| 1.823 | 45.7 | 2 6 2 |

Cell and atoms:
a = 7.5163 Å, b = 18.8274 Å, c = 5.5775 Å
α = 90.00°, β = 90.00°, γ = 90.00°
Space group Ama2 (No. 40)
Unique sites:
Ta 0.2500 0.1092 0.0000 x4
Tl 0.2500 0.3185 0.3347 x4
Cu 0.0000 0.0000 0.0164 x4
Cu 0.2500 0.1049 0.5007 x4
S 0.0017 0.1041 0.2439 x8
S 0.2500 0.0068 0.7637 x4
S 0.2500 0.2053 0.7488 x4

***

(4)
Structure and computed powder XRD pattern of Rb2CoSe2 (a DFT-relaxed cell (GGA-PBE, the Materials Project); Cu Kα, 1.54184 Å).

Most intense lines, 5° ≤ 2θ ≤ 70°, low angle first:
| d [Å] | I (rel.) | index |
| --- | --- | --- |
| 6.401 | 46.3 | 1 1 0 |
| 3.445 | 41.3 | 0 4 0 |
| 3.274 | 60.5 | 0 0 2 |
| 3.084 | 100.0 | 2 1 1 |
| 2.809 | 61.5 | 1 4 1 |
| 2.606 | 59.6 | 2 3 1 |
| 2.494 | 36.5 | 2 4 0 |
| 2.427 | 45.4 | 2 0 2 |
| 2.373 | 76.3 | 0 4 2 |
| 1.729 | 39.7 | 4 1 1 |

Cell and atoms:
a = 7.2280 Å, b = 13.7796 Å, c = 6.5490 Å
α = 90.00°, β = 90.00°, γ = 90.00°
Space group Ibam (No. 72)
Unique sites:
Rb 0.1725 0.1453 0.0000 x8
Co 0.0000 0.5000 0.2500 x4
Se 0.1733 0.4035 0.0000 x8

***

(5)
Structure and computed powder XRD pattern of Si (a DFT-relaxed cell (GGA-PBE, the Materials Project); Cu Kα, 1.54184 Å).

Most intense lines, 5° ≤ 2θ ≤ 70°, low angle first:
| d [Å] | I (rel.) | index |
| --- | --- | --- |
| 6.364 | 100.0 | 0 0 2 |
| 4.107 | 39.9 | 0 2 2 |
| 3.489 | 83.0 | 1 1 1 |
| 3.152 | 63.3 | 1 1 2 |
| 2.757 | 82.4 | 1 1 3 |
| 2.738 | 49.6 | 0 2 4 |
| 1.927 | 49.1 | 2 0 0 |
| 1.831 | 60.7 | 1 1 6 |
| 1.827 | 58.2 | 1 3 5 |
| 1.717 | 46.1 | 1 5 3 |

Cell and atoms:
a = 3.8538 Å, b = 10.7531 Å, c = 12.7275 Å
α = 90.00°, β = 90.00°, γ = 90.00°
Space group Cmcm (No. 63)
Unique sites:
Si 0.0000 0.0287 0.0905 x8
Si 0.0000 0.2427 0.0547 x8
Si 0.0000 0.4288 0.1570 x8

***

(6)
Structure and computed powder XRD pattern of Mg6FeSi (a DFT-relaxed cell (GGA-PBE, the Materials Project); Cu Kα, 1.54184 Å).

Most intense lines, 5° ≤ 2θ ≤ 70°, low angle first:
| d [Å] | I (rel.) | index |
| --- | --- | --- |
| 5.245 | 18.5 | 0 0 2 |
| 3.555 | 9.8 | 1 0 2 |
| 2.627 | 26.6 | 0 2 2 |
| 2.617 | 12.4 | 0 0 4 |
| 2.417 | 38.4 | 2 0 0 |
| 2.309 | 100.0 | 1 2 2 |
| 2.302 | 50.4 | 1 0 4 |
| 1.779 | 15.7 | 2 2 2 |
| 1.513 | 16.2 | 0 2 6 |
| 1.373 | 26.3 | 3 0 4 |

Cell and atoms:
a = 4.8346 Å, b = 6.0760 Å, c = 10.4685 Å
α = 90.00°, β = 90.00°, γ = 90.00°
Space group Amm2 (No. 38)
Unique sites:
Mg 0.0000 0.0000 0.0000 x2
Mg 0.0000 0.0000 0.4970 x2
Mg 0.0000 0.2450 0.2580 x4
Mg 0.5000 0.2486 0.5866 x4
Fe 0.5000 0.0000 0.3378 x2
Si 0.5000 0.0000 0.8387 x2

***

(7)
Structure and computed powder XRD pattern of Er2TiO5 (a DFT-relaxed cell (GGA-PBE, the Materials Project); Cu Kα, 1.54184 Å).

Most intense lines, 5° ≤ 2θ ≤ 70°, low angle first:
| d [Å] | I (rel.) | index |
| --- | --- | --- |
| 4.711 | 80.2 | 1 1 0 |
| 3.443 | 57.8 | 0 0 2 |
| 3.048 | 76.3 | 1 1 -2 |
| 2.939 | 100.0 | 3 1 0 |
| 2.724 | 45.7 | 3 1 -2 |
| 2.686 | 33.7 | 4 0 -2 |
| 2.627 | 42.5 | 0 2 0 |
| 2.572 | 33.5 | 1 1 2 |
| 2.089 | 32.4 | 0 2 2 |
| 1.878 | 40.9 | 4 2 -2 |

Cell and atoms:
a = 11.5996 Å, b = 5.2550 Å, c = 7.5083 Å
α = 90.00°, β = 113.51°, γ = 90.00°
Space group C2/c (No. 15)
Unique sites:
Er 0.1381 0.0087 0.2501 x8
Ti 0.0000 0.5000 0.0000 x4
O 0.0000 0.3315 0.2500 x4
O 0.0714 0.1807 0.9552 x8
O 0.1697 0.3568 0.6401 x8